Computed PXRD pattern of Mg14VW for Cu Ka, from a GGA-PBE-relaxed structure.
Kinematic intensities with the Lorentz-polarization factor, no thermal factor.

Largest 10 diffraction maxima, low angle first, 5° ≤ 2θ ≤ 70°:
d (Å)  two_theta  I (rel.)  (hkl)
10.013  8.83  100.0  1 0 0
5.483  16.16  27.0  0 0 2
5.329  16.63  23.5  0 1 1
4.809  18.45  36.5  1 0 2
4.705  18.86  34.7  1 1 1
2.663  33.65  38.6  0 2 2
2.503  35.87  36.2  4 0 0
2.405  37.40  53.1  2 0 4
2.352  38.26  92.0  2 2 2
1.825  49.99  20.5  4 2 2

Crystal structure
```
data_Mg14VW
_space_group_name_H-M_alt 'A m m 2'
_space_group_IT_number 38
_cell_length_a 10.013
_cell_length_b 6.098
_cell_length_c 10.967
_cell_angle_alpha 90.00
_cell_angle_beta 90.00
_cell_angle_gamma 90.00
loop_
_space_group_symop_operation_xyz
'x,y,z'
'-x,-y,z'
'-x,y,z'
'x,-y,z'
'x,y+1/2,z+1/2'
'-x,-y+1/2,z+1/2'
'-x,y+1/2,z+1/2'
'x,-y+1/2,z+1/2'
loop_
_atom_site_label
_atom_site_fract_x
_atom_site_fract_y
_atom_site_fract_z
Mg1 0.000 0.000 0.000
Mg2 0.000 0.000 0.499
Mg3 0.000 0.249 0.251
Mg4 0.254 0.000 0.661
Mg5 0.258 0.000 0.159
Mg6 0.263 0.246 0.920
Mg7 0.500 0.250 0.251
V1 0.500 0.000 0.502
W1 0.500 0.000 0.005
```